Theoretical X-ray powder pattern of Ca3Al2N4 for Cu Kα X-rays, from DFT lattice parameters and positions (GGA-PBE).
Neutral-atom scattering factors, no anomalous dispersion.

Cell and atoms:
Cell lengths 9.601, 5.830, 9.587 Å; angles 90.00, 111.58, 90.00 degrees
Space group P2_1/c (No. 14)
Unique sites:
Ca  0.036  0.152  0.171 [4 per cell]
Ca  0.318  0.620  0.900 [4 per cell]
Ca  0.449  0.094  0.815 [4 per cell]
Al  0.119  0.611  0.108 [4 per cell]
Al  0.242  0.142  0.988 [4 per cell]
N  0.101  0.103  0.448 [4 per cell]
N  0.200  0.011  0.798 [4 per cell]
N  0.204  0.599  0.606 [4 per cell]
N  0.439  0.238  0.563 [4 per cell]

Most intense lines, 10° ≤ 2θ ≤ 80°, by angle:
two_theta  I (rel.)  index
31.93  13  3 1 -1
33.20  100  2 0 2
33.84  12  0 1 3
34.99  73  1 2 1
40.97  74  1 1 -4
53.72  21  0 1 5
56.15  19  3 3 -2
60.50  14  3 2 3
60.86  9  4 0 -6
61.62  12  1 3 -4